Record 1
This entry pairs a crystal structure of Ta3Mo5 with its theoretical powder XRD pattern. Radiation: Cu Kα X-rays. Structure: a structure optimized by DFT (GGA-PBE).

Largest 10 diffraction maxima, by angle, 2θ = 10–80°:
2θ = 13.00°, d 6.808, I 21, (0 1 0); 2θ = 39.14°, d 2.301, I 53, (1 0 2); 2θ = 39.29°, d 2.293, I 52, (-1 1 1); 2θ = 39.49°, d 2.282, I 53, (1 2 0); 2θ = 39.89°, d 2.260, I 100, (0 1 3); 2θ = 40.08°, d 2.250, I 49, (0 3 1); 2θ = 57.12°, d 1.612, I 17, (1 -3 1); 2θ = 57.38°, d 1.606, I 34, (1 3 3); 2θ = 72.14°, d 1.309, I 17, (-1 2 4); 2θ = 72.68°, d 1.301, I 17, (0 4 4)

Cell and atoms:
```
data_Ta3Mo5
_cell_length_a 2.830
_cell_length_b 6.933
_cell_length_c 6.979
_cell_angle_alpha 81.05
_cell_angle_beta 82.00
_cell_angle_gamma 82.58
_symmetry_space_group_name_H-M 'P -1'
_symmetry_Int_Tables_number 2
loop_
_symmetry_equiv_pos_as_xyz
'x,y,z'
'-x,-y,-z'
loop_
_atom_site_label
_atom_site_type_symbol
_atom_site_fract_x
_atom_site_fract_y
_atom_site_fract_z
Ta1 Ta 0.000 0.000 0.000
Ta2 Ta 0.263 0.870 0.376
Mo1 Mo 0.000 0.500 0.500
Mo2 Mo 0.249 0.379 0.876
Mo3 Mo 0.497 0.255 0.248
```

***

Record 2
This entry pairs a crystal structure of Ba2Tl5Pb4 with its theoretical powder XRD pattern. Radiation: Cu Kα X-rays. Structure: a structure optimized by DFT (GGA-PBE).

Largest 10 diffraction maxima, by angle, 2θ = 10–80°:
2θ = 15.39°, d 5.756, I 14, (1 1 -1); 2θ = 27.28°, d 3.269, I 16, (0 2 1); 2θ = 28.20°, d 3.165, I 26, (3 1 0); 2θ = 30.35°, d 2.945, I 100, (2 2 0); 2θ = 30.57°, d 2.925, I 58, (4 0 -3); 2θ = 31.43°, d 2.846, I 34, (0 0 3); 2θ = 33.77°, d 2.654, I 34, (4 0 0); 2θ = 36.45°, d 2.465, I 38, (2 2 -3); 2θ = 49.95°, d 1.826, I 20, (6 2 -3); 2θ = 61.23°, d 1.514, I 15, (4 4 -3)

Cell and atoms:
```
data_Ba2Tl5Pb4
_cell_length_a 12.822
_cell_length_b 7.077
_cell_length_c 10.314
_cell_angle_alpha 90.00
_cell_angle_beta 124.12
_cell_angle_gamma 90.00
_symmetry_space_group_name_H-M 'C 1 2/m 1'
_symmetry_Int_Tables_number 12
loop_
_symmetry_equiv_pos_as_xyz
'x,y,z'
'-x,-y,-z'
'-x,y,-z'
'x,-y,z'
'x+1/2,y+1/2,z'
'-x+1/2,-y+1/2,-z'
'-x+1/2,y+1/2,-z'
'x+1/2,-y+1/2,z'
loop_
_atom_site_label
_atom_site_type_symbol
_atom_site_fract_x
_atom_site_fract_y
_atom_site_fract_z
Ba1 Ba 0.217 0.000 0.276
Tl1 Tl 0.000 0.500 0.000
Tl2 Tl 0.004 0.270 0.335
Pb1 Pb 0.215 0.000 0.935
Pb2 Pb 0.228 0.000 0.638
```

***

Record 3
This entry pairs a crystal structure of Ba2SnHCl with its theoretical powder XRD pattern. Radiation: Cu Kα X-rays. Structure: a structure optimized by DFT (GGA-PBE).

Largest 10 diffraction maxima, by angle, 2θ = 10–80°:
2θ = 14.41°, d 6.146, I 44, (1 0 0); 2θ = 17.06°, d 5.198, I 20, (0 0 1); 2θ = 26.74°, d 3.334, I 100, (1 1 1); 2θ = 29.06°, d 3.073, I 60, (2 0 0); 2θ = 34.51°, d 2.599, I 19, (0 0 2); 2θ = 41.56°, d 2.173, I 22, (2 2 0); 2θ = 45.72°, d 1.984, I 34, (2 0 2); 2θ = 50.11°, d 1.820, I 36, (3 1 1); 2θ = 55.09°, d 1.667, I 20, (2 2 2); 2θ = 57.24°, d 1.609, I 15, (1 1 3)

Cell and atoms:
```
data_Ba2SnHCl
_cell_length_a 6.146
_cell_length_b 6.146
_cell_length_c 5.198
_cell_angle_alpha 90.00
_cell_angle_beta 90.00
_cell_angle_gamma 90.00
_symmetry_space_group_name_H-M 'P 4/m m m'
_symmetry_Int_Tables_number 123
_symmetry_space_group_name_Hall '-P 4 2'
loop_
_atom_site_label
_atom_site_type_symbol
_atom_site_fract_x
_atom_site_fract_y
_atom_site_fract_z
Ba1 Ba 0.000 0.500 0.000
Sn1 Sn 0.000 0.000 0.500
H1 H 0.500 0.500 0.500
Cl1 Cl 0.000 0.000 0.000
```

***

Record 4
This entry pairs a crystal structure of Dy4Ga3 with its theoretical powder XRD pattern. Radiation: Cu Kα X-rays. Structure: a structure optimized by DFT (GGA-PBE).

Largest 10 diffraction maxima, by angle, 2θ = 10–80°:
2θ = 24.47°, d 3.638, I 25, (2 1 1); 2θ = 34.68°, d 2.586, I 100, (3 -2 2); 2θ = 35.07°, d 2.559, I 94, (1 4 0); 2θ = 50.15°, d 1.819, I 31, (4 2 2); 2θ = 56.30°, d 1.634, I 7, (5 -1 3); 2θ = 61.91°, d 1.499, I 15, (2 1 4); 2θ = 62.66°, d 1.483, I 28, (0 7 2); 2θ = 62.91°, d 1.477, I 14, (6 3 0); 2θ = 73.19°, d 1.293, I 11, (6 -4 4); 2θ = 74.10°, d 1.279, I 7, (2 8 0)

Cell and atoms:
```
data_Dy4Ga3
_cell_length_a 13.5409
_cell_length_b 13.5409
_cell_length_c 6.3700
_cell_angle_alpha 90.00
_cell_angle_beta 90.00
_cell_angle_gamma 120.00
_symmetry_space_group_name_H-M 'R -3'
_symmetry_Int_Tables_number 148
_symmetry_space_group_name_Hall '-R 3'
loop_
_atom_site_label
_atom_site_type_symbol
_atom_site_fract_x
_atom_site_fract_y
_atom_site_fract_z
Dy1 Dy 0.0000 0.0000 0.0000
Dy2 Dy 0.0000 0.0000 0.5000
Dy3 Dy 0.0543 0.2554 0.1760
Ga1 Ga 0.0481 0.2214 0.7028
```